No. 1
The following is a simulated powder diffraction line list of TbHf4N6. It was derived from a structure optimized by DFT (GGA-PBE), using CuKα.
Lines closer than 0.1° are merged.

Atomic structure:
```
data_TbHf4N6
_cell_length_a 3.181
_cell_length_b 10.632
_cell_length_c 16.327
_cell_angle_alpha 90.00
_cell_angle_beta 90.00
_cell_angle_gamma 90.00
_space_group_name_H-M_alt 'C m c m'
_space_group_IT_number 63
_space_group_name_Hall '-C 2c 2'
loop_
_atom_site_label
_atom_site_type_symbol
_atom_site_fract_x
_atom_site_fract_y
_atom_site_fract_z
Tb1 Tb 0.000 0.148 0.250
Hf1 Hf 0.000 0.107 0.638
Hf2 Hf 0.000 0.369 0.548
N1 N 0.000 0.000 0.000
N2 N 0.000 0.190 0.750
N3 N 0.000 0.271 0.082
N4 N 0.000 0.466 0.658
```

The 10 most intense peaks (2θ from 10° to 90°), by angle:
two_theta, d_spacing, intensity
31.3, 2.855, 34
32.2, 2.782, 100
33.7, 2.659, 84
38.4, 2.343, 15
39.6, 2.274, 34
41.6, 2.171, 29
54.1, 1.696, 19
59.3, 1.558, 15
67.9, 1.381, 24
68.8, 1.365, 14

No. 2
The following is a simulated powder diffraction line list of Hg6Pt7. It was derived from a structure optimized by DFT (GGA-PBE), using CuKα.
Lines closer than 0.1° are merged.

Atomic structure:
```
data_Hg6Pt7
_cell_length_a 5.6028
_cell_length_b 5.6028
_cell_length_c 27.3028
_cell_angle_alpha 90.00
_cell_angle_beta 90.00
_cell_angle_gamma 120.00
_space_group_name_H-M_alt 'R -3 m'
_space_group_IT_number 166
_space_group_name_Hall '-R 3 2"'
loop_
_atom_site_label
_atom_site_type_symbol
_atom_site_fract_x
_atom_site_fract_y
_atom_site_fract_z
Hg1 Hg 0.0000 0.0000 0.0517
Hg2 Hg 0.0000 0.0000 0.1578
Hg3 Hg 0.0000 0.0000 0.3337
Pt1 Pt 0.0000 0.0000 0.5000
Pt2 Pt 0.0024 0.5012 0.9123
```

The 10 most intense peaks (2θ from 10° to 90°), by angle:
two_theta, d_spacing, intensity
31.9, 2.801, 48
37.2, 2.417, 44
37.7, 2.386, 100
37.8, 2.379, 33
39.6, 2.275, 25
40.7, 2.217, 46
40.8, 2.210, 32
44.0, 2.059, 44
60.8, 1.523, 38
66.8, 1.401, 37

No. 3
The following is a simulated powder diffraction line list of MnCrBr4. It was derived from a structure optimized by DFT (GGA-PBE), using CuKα.
Lines closer than 0.1° are merged.

Atomic structure:
```
data_MnCrBr4
_cell_length_a 6.662
_cell_length_b 3.885
_cell_length_c 6.913
_cell_angle_alpha 90.00
_cell_angle_beta 94.22
_cell_angle_gamma 90.00
_space_group_name_H-M_alt 'P 1 2/m 1'
_space_group_IT_number 10
loop_
_space_group_symop_operation_xyz
'x,y,z'
'-x,-y,-z'
'-x,y,-z'
'x,-y,z'
loop_
_atom_site_label
_atom_site_type_symbol
_atom_site_fract_x
_atom_site_fract_y
_atom_site_fract_z
Mn1 Mn 0.000 0.000 0.000
Cr1 Cr 0.500 0.500 0.000
Br1 Br 0.189 0.500 0.217
Br2 Br 0.317 0.000 0.784
```

The 10 most intense peaks (2θ from 10° to 90°), by angle:
two_theta, d_spacing, intensity
12.8, 6.895, 87
25.8, 3.447, 18
29.0, 3.083, 33
29.2, 3.061, 33
30.1, 2.973, 100
36.1, 2.485, 36
38.1, 2.360, 44
46.8, 1.942, 19
47.1, 1.929, 35
47.2, 1.924, 33

No. 4
The following is a simulated powder diffraction line list of Cs2PuAuI6. It was derived from a structure optimized by DFT (GGA-PBE), using CuKα.
Lines closer than 0.1° are merged.

Atomic structure:
```
data_Cs2PuAuI6
_cell_length_a 12.201
_cell_length_b 12.215
_cell_length_c 12.239
_cell_angle_alpha 90.00
_cell_angle_beta 90.00
_cell_angle_gamma 90.00
_space_group_name_H-M_alt 'F m m m'
_space_group_IT_number 69
_space_group_name_Hall '-F 2 2'
loop_
_atom_site_label
_atom_site_type_symbol
_atom_site_fract_x
_atom_site_fract_y
_atom_site_fract_z
Cs1 Cs 0.250 0.250 0.250
Pu1 Pu 0.000 0.000 0.000
Au1 Au 0.000 0.000 0.500
I1 I 0.000 0.000 0.252
I2 I 0.000 0.247 0.500
I3 I 0.247 0.000 0.500
```

The 10 most intense peaks (2θ from 10° to 90°), by angle:
two_theta, d_spacing, intensity
14.5, 6.109, 44
20.6, 4.320, 43
25.3, 3.527, 32
29.2, 3.055, 100
32.8, 2.732, 25
36.0, 2.494, 21
41.8, 2.160, 75
51.8, 1.764, 27
68.6, 1.367, 17
68.8, 1.365, 17